(1)
For Tb12PmDy5, DFT lattice parameters and positions (GGA-PBE) gives the theoretical powder diffraction line list in this record (Cu Kα, 1.54184 Å).

Atomic structure:
Lattice parameters (Å, degrees): 11.898 16.944 5.704 90.00 90.00 90.00
Space group C2/m (No. 12)
Unique sites:
Tb: 0.151 0.180 0.000 x8
Tb: 0.152 0.320 0.500 x8
Tb: 0.199 0.500 0.001 x4
Tb: 0.201 0.000 0.499 x4
Pm: 0.000 0.000 0.000 x2
Dy: 0.000 0.138 0.500 x4
Dy: 0.000 0.363 0.000 x4
Dy: 0.000 0.500 0.500 x2

Most intense lines, 10 to 80 degrees two-theta, by intensity:
| Position (°2θ) | d/Å | intensity | (hkl) |
| --- | --- | --- | --- |
| 31.7 | 2.821 | 100.0 | 3 3 1 |
| 31.7 | 2.826 | 35.3 | 0 6 0 |
| 31.4 | 2.852 | 32.2 | 0 0 2 |
| 56.0 | 1.641 | 22.8 | 3 3 3 |
| 56.5 | 1.629 | 16.7 | 6 0 2 |
| 45.2 | 2.007 | 16.1 | 0 6 2 |
| 63.0 | 1.476 | 12.9 | 4 8 2 |
| 63.4 | 1.468 | 8.6 | 7 5 1 |
| 31.9 | 2.806 | 8.1 | 4 2 0 |
| 25.8 | 3.451 | 7.0 | 2 4 0 |

(2)
For La12PmSn4N3, DFT lattice parameters and positions (GGA-PBE) gives the theoretical powder diffraction line list in this record (Cu Kα, 1.54184 Å).

Atomic structure:
Lattice parameters (Å, degrees): 10.390 10.390 10.390 90.00 90.00 90.00
Space group Im-3m (No. 229)
Unique sites:
La: 0.000 0.000 0.273 x12
La: 0.000 0.250 0.500 x12
Pm: 0.000 0.000 0.000 x2
Sn: 0.250 0.250 0.250 x8
N: 0.000 0.000 0.500 x6

Most intense lines, 10 to 80 degrees two-theta, by intensity:
| Position (°2θ) | d/Å | intensity | (hkl) |
| --- | --- | --- | --- |
| 29.8 | 2.999 | 100.0 | 2 2 2 |
| 34.5 | 2.597 | 72.3 | 4 0 0 |
| 49.6 | 1.837 | 49.7 | 4 4 0 |
| 59.0 | 1.566 | 40.4 | 6 2 2 |
| 61.9 | 1.500 | 16.4 | 4 4 4 |
| 72.8 | 1.299 | 7.4 | 8 0 0 |
| 32.2 | 2.777 | 6.5 | 3 2 1 |
| 17.1 | 5.195 | 6.0 | 2 0 0 |
| 40.7 | 2.215 | 5.0 | 3 3 2 |
| 27.1 | 3.286 | 4.5 | 3 1 0 |

(3)
For YHg2Pt2, DFT lattice parameters and positions (GGA-PBE) gives the theoretical powder diffraction line list in this record (Cu Kα, 1.54184 Å).

Atomic structure:
Lattice parameters (Å, degrees): 7.298 7.298 3.958 90.00 90.00 90.00
Space group P4/mbm (No. 127)
Unique sites:
Y: 0.000 0.000 0.000 x2
Hg: 0.167 0.333 0.500 x4
Pt: 0.132 0.632 0.000 x4

Most intense lines, 10 to 80 degrees two-theta, by intensity:
| Position (°2θ) | d/Å | intensity | (hkl) |
| --- | --- | --- | --- |
| 35.7 | 2.518 | 100.0 | 2 1 1 |
| 39.0 | 2.308 | 28.3 | 3 1 0 |
| 61.7 | 1.502 | 14.9 | 3 1 2 |
| 17.2 | 5.160 | 14.2 | 1 1 0 |
| 45.9 | 1.979 | 14.1 | 0 0 2 |
| 73.9 | 1.282 | 13.9 | 5 2 1 |
| 33.4 | 2.683 | 12.2 | 2 0 1 |
| 78.1 | 1.223 | 10.8 | 2 1 3 |
| 57.0 | 1.616 | 9.7 | 4 1 1 |
| 53.3 | 1.720 | 7.3 | 3 3 0 |

(4)
For Cs3Pa2CdO9, DFT lattice parameters and positions (GGA-PBE) gives the theoretical powder diffraction line list in this record (Cu Kα, 1.54184 Å).

Atomic structure:
Lattice parameters (Å, degrees): 6.3142 6.3142 7.7130 90.00 90.00 120.00
Space group P-3m1 (No. 164)
Unique sites:
Cs: 0.0000 0.0000 0.0000 x1
Cs: 0.3333 0.6667 0.6598 x2
Pa: 0.3333 0.6667 0.1692 x2
Cd: 0.0000 0.0000 0.5000 x1
O: 0.0000 0.5000 0.0000 x3
O: 0.1752 0.3505 0.3194 x6

Most intense lines, 10 to 80 degrees two-theta, by intensity:
| Position (°2θ) | d/Å | intensity | (hkl) |
| --- | --- | --- | --- |
| 28.3 | 3.154 | 100.0 | 1 1 0 |
| 50.1 | 1.822 | 31.8 | 3 0 0 |
| 40.4 | 2.230 | 28.2 | 2 0 2 |
| 66.3 | 1.411 | 18.9 | 3 1 2 |
| 50.2 | 1.818 | 10.4 | 1 0 4 |
| 19.9 | 4.461 | 9.8 | 1 0 1 |
| 58.5 | 1.579 | 9.2 | 2 2 0 |
| 58.6 | 1.576 | 9.1 | 0 2 4 |
| 73.5 | 1.288 | 4.6 | 0 4 2 |
| 45.5 | 1.995 | 4.0 | 1 1 3 |